(1)
Structure and simulated PXRD pattern of La2Ti3O9 (a cell relaxed with PBE; Cu Kα, 1.54184 Å).
Intensities are scaled so that the largest is 100.

Top 10 peaks for 2θ = 10–90°, sorted by position:
2θ/deg	I_rel
18.2	35
23.8	36
26.8	100
29.5	52
29.9	29
30.6	33
32.0	61
38.2	28
43.0	25
52.5	19

Atomic structure:
Lattice parameters (Å, degrees): 8.028 6.053 8.764 90.00 110.76 90.00
Sites, in units of the cell vectors:
La: 0.194 0.000 0.107
La: 0.212 0.499 0.748
La: 0.788 0.999 0.252
La: 0.806 0.500 0.893
Ti: 0.076 0.500 0.312
Ti: 0.485 0.771 0.493
Ti: 0.492 0.500 0.171
Ti: 0.508 0.000 0.829
Ti: 0.515 0.271 0.507
Ti: 0.924 0.000 0.688
O: 0.000 0.004 0.522
O: 0.000 0.504 0.478
O: 0.002 0.755 0.817
O: 0.004 0.242 0.821
O: 0.265 0.504 0.036
O: 0.329 0.503 0.415
O: 0.330 0.992 0.418
O: 0.369 0.000 0.948
O: 0.460 0.265 0.710
O: 0.466 0.734 0.712
O: 0.534 0.234 0.288
O: 0.540 0.765 0.290
O: 0.631 0.500 0.052
O: 0.670 0.492 0.582
O: 0.671 0.003 0.585
O: 0.735 0.004 0.964
O: 0.996 0.742 0.179
O: 0.998 0.255 0.183

***

(2)
Structure and simulated PXRD pattern of LiNbO3 (a cell relaxed with PBE; Cu Kα, 1.54184 Å).
Intensities are scaled so that the largest is 100.

Top 10 peaks for 2θ = 10–90°, sorted by position:
2θ/deg	I_rel
17.7	100
20.0	31
20.2	46
21.0	30
26.8	32
31.6	17
35.1	29
37.5	27
43.2	39
44.5	13

Atomic structure:
Lattice parameters (Å, degrees): 5.275 5.275 10.045 91.95 91.95 114.94
Sites, in units of the cell vectors:
Li: 0.129 0.871 0.750
Li: 0.243 0.757 0.250
Li: 0.757 0.243 0.750
Li: 0.871 0.129 0.250
Nb: 0.177 0.324 0.988
Nb: 0.324 0.177 0.488
Nb: 0.676 0.823 0.512
Nb: 0.823 0.676 0.012
O: 0.018 0.108 0.617
O: 0.054 0.554 0.876
O: 0.108 0.018 0.117
O: 0.340 0.497 0.400
O: 0.446 0.946 0.624
O: 0.497 0.340 0.900
O: 0.503 0.660 0.100
O: 0.554 0.054 0.376
O: 0.660 0.503 0.600
O: 0.892 0.982 0.883
O: 0.946 0.446 0.124
O: 0.982 0.892 0.383

***

(3)
Structure and simulated PXRD pattern of TiTl2S4 (a cell relaxed with PBE; Cu Kα, 1.54184 Å).
Intensities are scaled so that the largest is 100.

Top 10 peaks for 2θ = 10–90°, sorted by position:
2θ/deg	I_rel
22.6	100
23.4	48
24.3	92
24.9	53
25.4	77
29.0	48
29.9	49
35.3	40
36.5	39
41.3	33

Atomic structure:
Lattice parameters (Å, degrees): 6.493 23.115 9.588 90.00 90.00 90.00
Sites, in units of the cell vectors:
Ti: 0.037 0.127 0.178
Ti: 0.037 0.373 0.678
Ti: 0.463 0.627 0.178
Ti: 0.463 0.873 0.678
Ti: 0.537 0.127 0.322
Ti: 0.537 0.373 0.822
Ti: 0.963 0.627 0.322
Ti: 0.963 0.873 0.822
Tl: 0.103 0.201 0.569
Tl: 0.103 0.299 0.069
Tl: 0.174 0.540 0.862
Tl: 0.174 0.960 0.362
Tl: 0.326 0.040 0.862
Tl: 0.326 0.460 0.362
Tl: 0.397 0.701 0.569
Tl: 0.397 0.799 0.069
Tl: 0.603 0.201 0.931
Tl: 0.603 0.299 0.431
Tl: 0.674 0.540 0.638
Tl: 0.674 0.960 0.138
Tl: 0.826 0.040 0.638
Tl: 0.826 0.460 0.138
Tl: 0.897 0.701 0.931
Tl: 0.897 0.799 0.431
S: 0.080 0.161 0.934
S: 0.080 0.339 0.434
S: 0.104 0.588 0.538
S: 0.104 0.912 0.038
S: 0.162 0.562 0.184
S: 0.162 0.938 0.684
S: 0.221 0.697 0.270
S: 0.221 0.803 0.770
S: 0.279 0.197 0.270
S: 0.279 0.303 0.770
S: 0.338 0.062 0.184
S: 0.338 0.438 0.684
S: 0.396 0.088 0.538
S: 0.396 0.412 0.038
S: 0.420 0.661 0.934
S: 0.420 0.839 0.434
S: 0.580 0.161 0.566
S: 0.580 0.339 0.066
S: 0.604 0.588 0.962
S: 0.604 0.912 0.462
S: 0.662 0.562 0.316
S: 0.662 0.938 0.816
S: 0.721 0.697 0.230
S: 0.721 0.803 0.730
S: 0.779 0.197 0.230
S: 0.779 0.303 0.730
S: 0.838 0.062 0.316
S: 0.838 0.438 0.816
S: 0.896 0.088 0.962
S: 0.896 0.412 0.462
S: 0.920 0.661 0.566
S: 0.920 0.839 0.066

***

(4)
Structure and simulated PXRD pattern of Tb2Ti3Ge4 (a cell relaxed with PBE; Cu Kα, 1.54184 Å).
Intensities are scaled so that the largest is 100.

Top 10 peaks for 2θ = 10–90°, sorted by position:
2θ/deg	I_rel
23.3	28
34.4	100
34.6	95
35.7	18
36.5	18
39.7	28
40.1	24
40.3	57
57.6	18
57.7	17

Atomic structure:
Lattice parameters (Å, degrees): 7.057 13.492 7.186 90.00 90.00 90.00
Sites, in units of the cell vectors:
Tb: 0.003 0.095 0.173
Tb: 0.003 0.405 0.173
Tb: 0.497 0.595 0.673
Tb: 0.497 0.905 0.673
Tb: 0.503 0.095 0.327
Tb: 0.503 0.405 0.327
Tb: 0.997 0.595 0.827
Tb: 0.997 0.905 0.827
Ti: 0.159 0.628 0.332
Ti: 0.159 0.872 0.332
Ti: 0.167 0.250 0.509
Ti: 0.333 0.750 0.009
Ti: 0.341 0.128 0.832
Ti: 0.341 0.372 0.832
Ti: 0.659 0.628 0.168
Ti: 0.659 0.872 0.168
Ti: 0.667 0.250 0.991
Ti: 0.833 0.750 0.491
Ti: 0.841 0.128 0.668
Ti: 0.841 0.372 0.668
Ge: 0.039 0.250 0.868
Ge: 0.172 0.045 0.544
Ge: 0.172 0.455 0.544
Ge: 0.191 0.750 0.634
Ge: 0.309 0.250 0.134
Ge: 0.328 0.545 0.044
Ge: 0.328 0.955 0.044
Ge: 0.461 0.750 0.368
Ge: 0.539 0.250 0.632
Ge: 0.672 0.045 0.956
Ge: 0.672 0.455 0.956
Ge: 0.691 0.750 0.866
Ge: 0.809 0.250 0.366
Ge: 0.828 0.545 0.456
Ge: 0.828 0.955 0.456
Ge: 0.961 0.750 0.132

***

Copy entry 3 word for word.
Structure and simulated PXRD pattern of TiTl2S4 (a cell relaxed with PBE; Cu Kα, 1.54184 Å).
Intensities are scaled so that the largest is 100.

Top 10 peaks for 2θ = 10–90°, sorted by position:
2θ/deg	I_rel
22.6	100
23.4	48
24.3	92
24.9	53
25.4	77
29.0	48
29.9	49
35.3	40
36.5	39
41.3	33

Atomic structure:
Lattice parameters (Å, degrees): 6.493 23.115 9.588 90.00 90.00 90.00
Sites, in units of the cell vectors:
Ti: 0.037 0.127 0.178
Ti: 0.037 0.373 0.678
Ti: 0.463 0.627 0.178
Ti: 0.463 0.873 0.678
Ti: 0.537 0.127 0.322
Ti: 0.537 0.373 0.822
Ti: 0.963 0.627 0.322
Ti: 0.963 0.873 0.822
Tl: 0.103 0.201 0.569
Tl: 0.103 0.299 0.069
Tl: 0.174 0.540 0.862
Tl: 0.174 0.960 0.362
Tl: 0.326 0.040 0.862
Tl: 0.326 0.460 0.362
Tl: 0.397 0.701 0.569
Tl: 0.397 0.799 0.069
Tl: 0.603 0.201 0.931
Tl: 0.603 0.299 0.431
Tl: 0.674 0.540 0.638
Tl: 0.674 0.960 0.138
Tl: 0.826 0.040 0.638
Tl: 0.826 0.460 0.138
Tl: 0.897 0.701 0.931
Tl: 0.897 0.799 0.431
S: 0.080 0.161 0.934
S: 0.080 0.339 0.434
S: 0.104 0.588 0.538
S: 0.104 0.912 0.038
S: 0.162 0.562 0.184
S: 0.162 0.938 0.684
S: 0.221 0.697 0.270
S: 0.221 0.803 0.770
S: 0.279 0.197 0.270
S: 0.279 0.303 0.770
S: 0.338 0.062 0.184
S: 0.338 0.438 0.684
S: 0.396 0.088 0.538
S: 0.396 0.412 0.038
S: 0.420 0.661 0.934
S: 0.420 0.839 0.434
S: 0.580 0.161 0.566
S: 0.580 0.339 0.066
S: 0.604 0.588 0.962
S: 0.604 0.912 0.462
S: 0.662 0.562 0.316
S: 0.662 0.938 0.816
S: 0.721 0.697 0.230
S: 0.721 0.803 0.730
S: 0.779 0.197 0.230
S: 0.779 0.303 0.730
S: 0.838 0.062 0.316
S: 0.838 0.438 0.816
S: 0.896 0.088 0.962
S: 0.896 0.412 0.462
S: 0.920 0.661 0.566
S: 0.920 0.839 0.066

***

What did the first record say?
Structure and simulated PXRD pattern of La2Ti3O9 (a cell relaxed with PBE; Cu Kα, 1.54184 Å).
Intensities are scaled so that the largest is 100.

Top 10 peaks for 2θ = 10–90°, sorted by position:
2θ/deg	I_rel
18.2	35
23.8	36
26.8	100
29.5	52
29.9	29
30.6	33
32.0	61
38.2	28
43.0	25
52.5	19

Atomic structure:
Lattice parameters (Å, degrees): 8.028 6.053 8.764 90.00 110.76 90.00
Sites, in units of the cell vectors:
La: 0.194 0.000 0.107
La: 0.212 0.499 0.748
La: 0.788 0.999 0.252
La: 0.806 0.500 0.893
Ti: 0.076 0.500 0.312
Ti: 0.485 0.771 0.493
Ti: 0.492 0.500 0.171
Ti: 0.508 0.000 0.829
Ti: 0.515 0.271 0.507
Ti: 0.924 0.000 0.688
O: 0.000 0.004 0.522
O: 0.000 0.504 0.478
O: 0.002 0.755 0.817
O: 0.004 0.242 0.821
O: 0.265 0.504 0.036
O: 0.329 0.503 0.415
O: 0.330 0.992 0.418
O: 0.369 0.000 0.948
O: 0.460 0.265 0.710
O: 0.466 0.734 0.712
O: 0.534 0.234 0.288
O: 0.540 0.765 0.290
O: 0.631 0.500 0.052
O: 0.670 0.492 0.582
O: 0.671 0.003 0.585
O: 0.735 0.004 0.964
O: 0.996 0.742 0.179
O: 0.998 0.255 0.183

***

Number 3 is which compound?
TiTl2S4

***

Repeat the fourth record exactly.
Structure and simulated PXRD pattern of Tb2Ti3Ge4 (a cell relaxed with PBE; Cu Kα, 1.54184 Å).
Intensities are scaled so that the largest is 100.

Top 10 peaks for 2θ = 10–90°, sorted by position:
2θ/deg	I_rel
23.3	28
34.4	100
34.6	95
35.7	18
36.5	18
39.7	28
40.1	24
40.3	57
57.6	18
57.7	17

Atomic structure:
Lattice parameters (Å, degrees): 7.057 13.492 7.186 90.00 90.00 90.00
Sites, in units of the cell vectors:
Tb: 0.003 0.095 0.173
Tb: 0.003 0.405 0.173
Tb: 0.497 0.595 0.673
Tb: 0.497 0.905 0.673
Tb: 0.503 0.095 0.327
Tb: 0.503 0.405 0.327
Tb: 0.997 0.595 0.827
Tb: 0.997 0.905 0.827
Ti: 0.159 0.628 0.332
Ti: 0.159 0.872 0.332
Ti: 0.167 0.250 0.509
Ti: 0.333 0.750 0.009
Ti: 0.341 0.128 0.832
Ti: 0.341 0.372 0.832
Ti: 0.659 0.628 0.168
Ti: 0.659 0.872 0.168
Ti: 0.667 0.250 0.991
Ti: 0.833 0.750 0.491
Ti: 0.841 0.128 0.668
Ti: 0.841 0.372 0.668
Ge: 0.039 0.250 0.868
Ge: 0.172 0.045 0.544
Ge: 0.172 0.455 0.544
Ge: 0.191 0.750 0.634
Ge: 0.309 0.250 0.134
Ge: 0.328 0.545 0.044
Ge: 0.328 0.955 0.044
Ge: 0.461 0.750 0.368
Ge: 0.539 0.250 0.632
Ge: 0.672 0.045 0.956
Ge: 0.672 0.455 0.956
Ge: 0.691 0.750 0.866
Ge: 0.809 0.250 0.366
Ge: 0.828 0.545 0.456
Ge: 0.828 0.955 0.456
Ge: 0.961 0.750 0.132